Starting from a structure optimized by DFT (PBE), the X-ray powder pattern of Y2Mg was simulated for Cu Kα X-rays.

Structure:
```
data_Y2Mg
_chemical_formula_sum 'Y8 Mg4'
_cell_length_a 5.6078
_cell_length_b 3.5124
_cell_length_c 18.2574
_cell_angle_alpha 90.00
_cell_angle_beta 90.00
_cell_angle_gamma 90.00
_symmetry_space_group_name_H-M 'A m m 2'
_symmetry_Int_Tables_number 38
loop_
_symmetry_equiv_pos_as_xyz
'x,y,z'
'-x,-y,z'
'-x,y,z'
'x,-y,z'
'x,y+1/2,z+1/2'
'-x,-y+1/2,z+1/2'
'-x,y+1/2,z+1/2'
'x,-y+1/2,z+1/2'
loop_
_atom_site_label
_atom_site_fract_x
_atom_site_fract_y
_atom_site_fract_z
Y1 0.0000 0.0000 0.0000
Y2 0.0000 0.0000 0.3275
Y3 0.0000 0.0000 0.6664
Y4 0.5000 0.0000 0.8833
Mg1 0.5000 0.0000 0.2197
Mg2 0.5000 0.0000 0.5549
```

Most intense lines, 2θ from 10° to 90°, in order of rising 2θ:
(1 0 0), 15.80°, rel. 13; (0 0 6), 29.36°, rel. 30; (2 0 0), 31.92°, rel. 24; (1 1 3), 33.51°, rel. 100; (2 0 6), 43.91°, rel. 19; (0 2 0), 52.07°, rel. 17; (3 1 3), 57.90°, rel. 20; (2 2 0), 62.38°, rel. 20; (1 0 12), 63.35°, rel. 15; (1 2 12), 86.37°, rel. 12

---

Starting from a structure optimized by DFT (PBE), the X-ray powder pattern of Y2Mg was simulated for Cu Kα X-rays.

Structure:
```
data_Y2Mg
_chemical_formula_sum 'Y8 Mg4'
_cell_length_a 3.7028
_cell_length_b 17.2696
_cell_length_c 5.4956
_cell_angle_alpha 90.00
_cell_angle_beta 90.00
_cell_angle_gamma 90.00
_symmetry_space_group_name_H-M 'C m c m'
_symmetry_Int_Tables_number 63
_symmetry_space_group_name_Hall '-C 2c 2'
loop_
_atom_site_label
_atom_site_fract_x
_atom_site_fract_y
_atom_site_fract_z
Y1 0.0000 0.0916 0.2500
Y2 0.0000 0.2261 0.7500
Mg1 0.0000 0.4338 0.2500
```

Most intense lines, 2θ from 10° to 90°, in order of rising 2θ:
(0 2 0), 10.24°, rel. 11; (1 1 0), 24.59°, rel. 12; (0 4 1), 26.25°, rel. 21; (0 6 0), 31.07°, rel. 21; (0 0 2), 32.59°, rel. 29; (1 3 1), 33.06°, rel. 100; (0 6 1), 35.20°, rel. 14; (0 6 2), 45.65°, rel. 14; (1 9 1), 56.58°, rel. 12; (1 3 3), 58.45°, rel. 19

---

Starting from a structure optimized by DFT (PBE), the X-ray powder pattern of Y2Mg was simulated for Cu Kα X-rays.

Structure:
```
data_Y2Mg
_chemical_formula_sum 'Y8 Mg4'
_cell_length_a 10.4072
_cell_length_b 6.0369
_cell_length_c 6.6726
_cell_angle_alpha 90.00
_cell_angle_beta 122.93
_cell_angle_gamma 90.00
_symmetry_space_group_name_H-M 'C 1 2/c 1'
_symmetry_Int_Tables_number 15
loop_
_symmetry_equiv_pos_as_xyz
'x,y,z'
'-x,-y,-z'
'-x,y,-z+1/2'
'x,-y,z+1/2'
'x+1/2,y+1/2,z'
'-x+1/2,-y+1/2,-z'
'-x+1/2,y+1/2,-z+1/2'
'x+1/2,-y+1/2,z+1/2'
loop_
_atom_site_label
_atom_site_fract_x
_atom_site_fract_y
_atom_site_fract_z
Y1 0.1696 0.0935 0.2451
Mg1 0.0000 0.4158 0.7500
```

Most intense lines, 2θ from 10° to 90°, in order of rising 2θ:
(1 1 0), 17.86°, rel. 35; (2 0 0), 20.33°, rel. 25; (3 1 -1), 29.71°, rel. 50; (0 0 2), 31.96°, rel. 69; (3 1 -2), 33.48°, rel. 84; (0 2 1), 33.73°, rel. 100; (3 1 0), 34.19°, rel. 80; (3 3 -1), 52.58°, rel. 31; (0 2 3), 58.09°, rel. 20; (6 0 0), 63.91°, rel. 18